No. 1
Calculated X-ray diffraction stick pattern
Compound: EuZnGa
Radiation: Cu Ka
Structure: DFT lattice parameters and positions (GGA-PBE)

The 10 most intense peaks (2θ from 10° to 90°), low angle first:
22.4°, 3.972 Å, rel. 22.5; 32.3°, 2.769 Å, rel. 30.5; 32.5°, 2.753 Å, rel. 100.0; 32.7°, 2.737 Å, rel. 71.7; 32.9°, 2.720 Å, rel. 26.5; 33.3°, 2.690 Å, rel. 27.5; 37.2°, 2.414 Å, rel. 15.9; 38.9°, 2.318 Å, rel. 48.4; 40.1°, 2.247 Å, rel. 60.2; 63.6°, 1.463 Å, rel. 15.9

Structural model:
```
EuZnGa
1.0
10.7609 0.0000 0.0000
0.0000 4.6358 0.0000
-5.3032 0.0000 5.4407
Eu Zn Ga
4 4 4
Direct
0.0449 0.0000 0.2970
0.4551 0.5000 0.7030
0.5449 0.5000 0.2970
0.9551 0.0000 0.7030
0.1643 0.5000 0.7239
0.3357 0.0000 0.2761
0.6643 0.0000 0.7239
0.8357 0.5000 0.2761
0.1629 0.5000 0.1044
0.3371 0.0000 0.8956
0.6629 0.0000 0.1044
0.8371 0.5000 0.8956
```


No. 2
Calculated X-ray diffraction stick pattern
Compound: LuFe6Ge6
Radiation: Cu Ka
Structure: DFT lattice parameters and positions (GGA-PBE)

The 10 most intense peaks (2θ from 10° to 90°), low angle first:
35.2°, 2.549 Å, rel. 72.3; 39.0°, 2.310 Å, rel. 43.9; 40.9°, 2.207 Å, rel. 51.1; 41.8°, 2.160 Å, rel. 100.0; 44.6°, 2.033 Å, rel. 24.6; 46.8°, 1.940 Å, rel. 35.9; 49.1°, 1.857 Å, rel. 22.7; 67.7°, 1.384 Å, rel. 23.1; 74.4°, 1.274 Å, rel. 28.2; 80.2°, 1.197 Å, rel. 26.3

Structural model:
```
LuFe6Ge6
1.0
5.0979 0.0000 0.0000
-2.5490 4.4150 0.0000
0.0000 0.0000 8.1338
Lu Fe Ge
1 6 6
Direct
0.0000 0.0000 0.0000
0.0000 0.5000 0.2494
0.0000 0.5000 0.7506
0.5000 0.0000 0.2494
0.5000 0.0000 0.7506
0.5000 0.5000 0.2494
0.5000 0.5000 0.7506
0.0000 0.0000 0.3450
0.0000 0.0000 0.6550
0.3333 0.6667 0.0000
0.3333 0.6667 0.5000
0.6667 0.3333 0.0000
0.6667 0.3333 0.5000
```


No. 3
Calculated X-ray diffraction stick pattern
Compound: Sr3Mo3N5
Radiation: Cu Ka
Structure: DFT lattice parameters and positions (GGA-PBE)

The 10 most intense peaks (2θ from 10° to 90°), low angle first:
28.5°, 3.135 Å, rel. 42.9; 30.8°, 2.901 Å, rel. 93.0; 31.0°, 2.888 Å, rel. 44.2; 31.4°, 2.851 Å, rel. 40.1; 31.7°, 2.822 Å, rel. 91.9; 32.2°, 2.780 Å, rel. 100.0; 35.7°, 2.518 Å, rel. 25.0; 37.9°, 2.372 Å, rel. 33.4; 40.6°, 2.224 Å, rel. 23.1; 41.4°, 2.180 Å, rel. 22.4

Structural model:
```
Sr3Mo3N5
1.0
6.1297 0.0000 0.0000
-0.7080 7.3270 0.0000
-2.2024 -3.0394 8.0978
Sr Mo N
6 6 10
Direct
0.1533 0.1554 0.2066
0.1620 0.3685 0.8908
0.3201 0.9397 0.6194
0.6799 0.0603 0.3806
0.8380 0.6315 0.1092
0.8467 0.8446 0.7934
0.2041 0.4626 0.5745
0.3753 0.6158 0.3000
0.4017 0.8221 0.9647
0.5983 0.1779 0.0353
0.6247 0.3842 0.7000
0.7959 0.5374 0.4255
0.1038 0.5602 0.3765
0.2558 0.0414 0.9109
0.3061 0.7397 0.1321
0.3521 0.2254 0.5101
0.4750 0.6082 0.7966
0.5250 0.3918 0.2034
0.6479 0.7746 0.4899
0.6939 0.2603 0.8679
0.7442 0.9586 0.0891
0.8962 0.4398 0.6235
```